(1)
Starting from DFT lattice parameters and positions (GGA-PBE), the X-ray powder pattern of CeAg2F8 was simulated for Cu Ka.

Peak list (10 most intense, 10° ≤ 2θ ≤ 90°, most intense first)
2theta	I/Imax
24.9	100
25.6	78
44.3	40
51.1	25
43.9	21
59.1	19
52.7	19
45.6	17
58.0	15
36.0	15

```
CeAg2F8
1.0
7.150 0.000 0.000
-3.575 6.192 0.000
0.000 0.000 4.198
Ce Ag F
1 2 8
direct
0.000 0.000 0.000
0.333 0.667 0.736
0.667 0.333 0.264
0.152 0.305 0.743
0.154 0.848 0.743
0.305 0.154 0.257
0.333 0.667 0.237
0.667 0.333 0.763
0.695 0.846 0.743
0.846 0.152 0.257
0.848 0.695 0.257
```

(2)
Starting from DFT lattice parameters and positions (GGA-PBE), the X-ray powder pattern of Zr4C23 was simulated for Cu Ka.

Peak list (10 most intense, 10° ≤ 2θ ≤ 90°, most intense first)
2theta	I/Imax
46.2	100
29.7	97
27.1	82
44.4	56
49.6	36
80.5	30
68.7	24
57.4	22
72.7	19
24.2	18

```
Zr4C23
1.0
7.357 0.000 0.000
0.000 7.357 0.000
0.000 0.000 7.357
Zr C
8 46
direct
0.000 0.000 0.000
0.000 0.250 0.500
0.000 0.750 0.500
0.250 0.500 0.000
0.500 0.000 0.250
0.500 0.000 0.750
0.500 0.500 0.500
0.750 0.500 0.000
0.000 0.293 0.176
0.000 0.293 0.824
0.000 0.500 0.250
0.000 0.500 0.750
0.000 0.707 0.176
0.000 0.707 0.824
0.176 0.000 0.293
0.176 0.000 0.707
0.183 0.183 0.183
0.183 0.183 0.817
0.183 0.817 0.183
0.183 0.817 0.817
0.207 0.500 0.324
0.207 0.500 0.676
0.250 0.000 0.500
0.293 0.176 0.000
0.293 0.824 0.000
0.317 0.317 0.317
0.317 0.317 0.683
0.317 0.683 0.317
0.317 0.683 0.683
0.324 0.207 0.500
0.324 0.793 0.500
0.500 0.250 0.000
0.500 0.324 0.207
0.500 0.324 0.793
0.500 0.676 0.207
0.500 0.676 0.793
0.500 0.750 0.000
0.676 0.207 0.500
0.676 0.793 0.500
0.683 0.317 0.317
0.683 0.317 0.683
0.683 0.683 0.317
0.683 0.683 0.683
0.707 0.176 0.000
0.707 0.824 0.000
0.750 0.000 0.500
0.793 0.500 0.324
0.793 0.500 0.676
0.817 0.183 0.183
0.817 0.183 0.817
0.817 0.817 0.183
0.817 0.817 0.817
0.824 0.000 0.293
0.824 0.000 0.707
```

(3)
Starting from DFT lattice parameters and positions (GGA-PBE), the X-ray powder pattern of SrCa2Cu2Bi2O8 was simulated for Cu Ka.

Peak list (10 most intense, 10° ≤ 2θ ≤ 90°, most intense first)
2theta	I/Imax
30.7	100
24.8	94
27.3	71
34.2	61
22.6	52
47.7	51
32.2	51
56.5	31
44.4	30
49.6	29

```
SrCa2Cu2Bi2O8
1.0
2.781 -15.714 0.000
2.781 15.714 0.000
0.000 0.000 5.246
Sr Ca Cu Bi O
2 4 4 4 16
direct
0.000 0.500 0.000
0.500 0.000 0.500
0.087 0.373 0.000
0.373 0.087 0.500
0.627 0.913 0.500
0.913 0.627 0.000
0.059 0.445 0.500
0.445 0.059 0.000
0.555 0.941 0.000
0.941 0.555 0.500
0.223 0.331 0.500
0.331 0.223 0.000
0.669 0.777 0.000
0.777 0.669 0.500
0.077 0.310 0.500
0.195 0.805 0.250
0.195 0.805 0.750
0.278 0.399 0.000
0.310 0.077 0.000
0.310 0.690 0.250
0.310 0.690 0.750
0.399 0.278 0.500
0.601 0.722 0.500
0.690 0.310 0.250
0.690 0.310 0.750
0.690 0.923 0.000
0.722 0.601 0.000
0.805 0.195 0.250
0.805 0.195 0.750
0.923 0.690 0.500
```

(4)
Starting from DFT lattice parameters and positions (GGA-PBE), the X-ray powder pattern of Pm2Ge5Mo was simulated for Cu Ka.

Peak list (10 most intense, 10° ≤ 2θ ≤ 90°, most intense first)
2theta	I/Imax
35.1	100
28.4	72
41.1	56
58.8	35
40.1	33
33.8	22
50.7	19
71.1	16
44.5	16
59.6	15

```
Pm2Ge5Mo
1.0
-3.104 3.104 4.497
3.104 -3.104 4.497
3.104 3.104 -4.497
Pm Ge Mo
2 5 1
direct
0.000 0.500 0.500
0.500 0.000 0.500
0.041 0.041 0.000
0.044 0.044 0.577
0.044 0.468 0.000
0.468 0.044 0.000
0.468 0.468 0.423
0.768 0.768 0.000
```

(5)
Starting from DFT lattice parameters and positions (GGA-PBE), the X-ray powder pattern of Si2H6O was simulated for Cu Ka.

Peak list (10 most intense, 10° ≤ 2θ ≤ 90°, most intense first)
2theta	I/Imax
19.0	100
21.0	92
17.3	91
26.0	63
22.2	46
24.9	33
31.6	25
26.8	20
42.7	18
38.5	17

```
Si2H6O
1.0
4.987 0.000 0.000
0.000 8.001 0.000
0.000 0.000 13.378
Si H O
8 24 4
direct
0.040 0.227 0.224
0.244 0.996 0.552
0.256 0.004 0.052
0.460 0.773 0.724
0.540 0.273 0.776
0.744 0.504 0.448
0.756 0.496 0.948
0.960 0.727 0.276
0.040 0.977 0.977
0.062 0.860 0.517
0.088 0.154 0.566
0.090 0.195 0.332
0.207 0.369 0.188
0.250 0.238 0.793
0.250 0.762 0.293
0.293 0.631 0.688
0.410 0.805 0.832
0.412 0.846 0.066
0.438 0.140 0.017
0.460 0.023 0.477
0.540 0.523 0.023
0.562 0.640 0.483
0.588 0.346 0.434
0.590 0.305 0.668
0.707 0.131 0.812
0.750 0.262 0.207
0.750 0.738 0.707
0.793 0.869 0.312
0.910 0.695 0.168
0.912 0.654 0.934
0.938 0.360 0.983
0.960 0.477 0.523
0.124 0.055 0.162
0.376 0.945 0.662
0.624 0.445 0.838
0.876 0.555 0.338
```

(6)
Starting from DFT lattice parameters and positions (GGA-PBE), the X-ray powder pattern of Ca3Zr3NbN8 was simulated for Cu Ka.

Peak list (10 most intense, 10° ≤ 2θ ≤ 90°, most intense first)
2theta	I/Imax
38.1	100
15.7	69
33.3	64
54.0	31
56.1	30
31.6	28
32.0	26
65.9	19
69.9	14
49.4	12

```
Ca3Zr3NbN8
1.0
3.277 1.892 5.658
-3.277 1.892 5.658
0.000 -3.784 5.658
Ca Zr Nb N
3 3 1 8
direct
0.000 0.500 0.500
0.500 0.000 0.500
0.500 0.500 0.000
0.000 0.000 0.500
0.000 0.500 0.000
0.500 0.000 0.000
0.500 0.500 0.500
0.239 0.239 0.239
0.250 0.726 0.726
0.274 0.274 0.750
0.274 0.750 0.274
0.726 0.250 0.726
0.726 0.726 0.250
0.750 0.274 0.274
0.761 0.761 0.761
```

(7)
Starting from DFT lattice parameters and positions (GGA-PBE), the X-ray powder pattern of Ce3PmSm4S8 was simulated for Cu Ka.

Peak list (10 most intense, 10° ≤ 2θ ≤ 90°, most intense first)
2theta	I/Imax
31.5	100
27.2	75
45.1	72
53.5	37
74.7	32
56.1	25
83.3	24
72.5	15
65.7	12
89.6	7

```
Ce3PmSm4S8
1.0
4.017 2.319 6.566
-4.017 2.319 6.566
0.000 -4.638 6.566
Ce Pm Sm S
3 1 4 8
direct
0.000 0.500 0.500
0.500 0.000 0.500
0.500 0.500 0.000
0.000 0.000 0.000
0.000 0.000 0.500
0.000 0.500 0.000
0.500 0.000 0.000
0.500 0.500 0.500
0.249 0.249 0.249
0.250 0.749 0.749
0.251 0.251 0.750
0.251 0.750 0.251
0.749 0.250 0.749
0.749 0.749 0.250
0.750 0.251 0.251
0.751 0.751 0.751
```

(8)
Starting from DFT lattice parameters and positions (GGA-PBE), the X-ray powder pattern of Dy2Sc3Tl2 was simulated for Cu Ka.

Peak list (10 most intense, 10° ≤ 2θ ≤ 90°, most intense first)
2theta	I/Imax
33.5	100
34.6	97
20.1	36
61.2	35
48.9	34
59.1	18
61.9	17
41.9	16
80.8	14
72.9	12

```
Dy2Sc3Tl2
1.0
4.492 -2.596 0.000
4.492 2.596 0.000
-3.002 0.000 7.778
Dy Sc Tl
2 3 2
direct
0.074 0.074 0.221
0.926 0.926 0.779
0.347 0.347 0.041
0.500 0.500 0.500
0.653 0.653 0.959
0.218 0.218 0.653
0.782 0.782 0.347
```

(9)
Starting from DFT lattice parameters and positions (GGA-PBE), the X-ray powder pattern of V8Mo2Ru was simulated for Cu Ka.

Peak list (10 most intense, 10° ≤ 2θ ≤ 90°, most intense first)
2theta	I/Imax
42.4	100
44.2	53
38.3	52
47.4	50
42.1	49
37.6	37
43.3	30
44.0	29
22.9	27
39.3	27

```
V8Mo2Ru
1.0
2.415 -6.874 0.000
2.415 6.874 0.000
0.000 0.000 4.697
V Mo Ru
8 2 1
direct
0.000 0.000 0.245
0.000 0.000 0.755
0.091 0.414 0.500
0.405 0.595 0.000
0.414 0.091 0.500
0.586 0.909 0.500
0.595 0.405 0.000
0.909 0.586 0.500
0.200 0.800 0.000
0.800 0.200 0.000
0.500 0.500 0.500
```